[1]
Simulated PXRD pattern
Compound: NaPaAg2O4
Radiation: Cu Kα, 1.54184 Å
Structure: a DFT-relaxed cell (PBE, Alexandria)
Neutral-atom scattering factors, no anomalous dispersion.

Top 10 peaks for 2θ = 15–90°, by intensity:
(hkl)	Position (°2θ)	I (rel.)
1 1 2	31.5	100
1 0 1	20.7	73
2 0 0	39.0	47
0 0 4	31.0	38
2 0 4	50.7	37
1 1 6	55.5	25
3 1 2	66.0	25
2 1 1	44.6	20
1 0 3	30.3	17
2 2 4	65.7	17

a = 4.617 Å, b = 4.617 Å, c = 11.525 Å
α = 90.00°, β = 90.00°, γ = 90.00°
Space group I4/mmm (No. 139)
Unique sites:
Na1 0.000 0.000 0.000 (multiplicity 2)
Pa1 0.000 0.000 0.500 (multiplicity 2)
Ag1 0.000 0.500 0.250 (multiplicity 4)
O1 0.000 0.000 0.319 (multiplicity 4)
O2 0.000 0.500 0.000 (multiplicity 4)


[2]
Simulated PXRD pattern
Compound: Cr2InAg
Radiation: Cu Kα, 1.54184 Å
Structure: a DFT-relaxed cell (PBE, Alexandria)
Neutral-atom scattering factors, no anomalous dispersion.

Top 10 peaks for 2θ = 15–90°, by intensity:
(hkl)	Position (°2θ)	I (rel.)
1 0 2	39.0	100
1 1 0	41.3	44
2 1 2	73.7	31
1 0 1	31.7	29
1 1 3	58.1	14
2 0 0	59.8	14
1 0 5	75.0	11
1 1 4	69.1	9
2 1 1	69.3	6
2 0 4	83.8	5

a = 3.092 Å, b = 3.092 Å, c = 6.938 Å
α = 90.00°, β = 90.00°, γ = 90.00°
Space group P4mm (No. 99)
Unique sites:
Cr1 0.000 0.000 0.000 (multiplicity 1)
Cr2 0.500 0.500 0.158 (multiplicity 1)
In1 0.000 0.000 0.434 (multiplicity 1)
Ag1 0.500 0.500 0.731 (multiplicity 1)


[3]
Simulated PXRD pattern
Compound: Na2AsBr5
Radiation: Cu Kα, 1.54184 Å
Structure: a DFT-relaxed cell (PBE, Alexandria)
Neutral-atom scattering factors, no anomalous dispersion.

Top 10 peaks for 2θ = 15–90°, by intensity:
(hkl)	Position (°2θ)	I (rel.)
2 1 1	30.1	100
1 0 0	17.1	94
0 1 -2	31.4	91
1 2 0	26.9	76
0 2 1	27.6	76
1 1 2	24.3	71
2 0 3	44.0	68
2 3 2	41.2	47
0 2 2	33.7	39
1 3 2	38.9	36

a = 5.945 Å, b = 7.370 Å, c = 7.654 Å
α = 71.50°, β = 67.22°, γ = 66.23°
Space group P1 (No. 1)
Unique sites:
Na1 0.000 0.000 0.000 (multiplicity 1)
Na2 0.401 0.749 0.449 (multiplicity 1)
As1 0.174 0.374 0.225 (multiplicity 1)
Br1 0.175 0.141 0.568 (multiplicity 1)
Br2 0.282 0.608 0.881 (multiplicity 1)
Br3 0.447 0.046 0.062 (multiplicity 1)
Br4 0.763 0.374 0.225 (multiplicity 1)
Br5 0.956 0.703 0.387 (multiplicity 1)